Structure and simulated X-ray diffraction stick pattern of Tl2PClF6 (a structure optimized by DFT (PBE); CuKα).

Crystal structure
```
Tl2PClF6
1.0
2.592 1.497 17.015
-2.592 1.497 17.015
0.000 -2.993 17.015
Tl P Cl F
4 2 2 12
Direct
0.115 0.115 0.115
0.282 0.282 0.282
0.718 0.718 0.718
0.885 0.885 0.885
0.000 0.000 0.000
0.500 0.500 0.500
0.416 0.416 0.416
0.584 0.584 0.584
0.167 0.167 0.721
0.167 0.721 0.167
0.184 0.630 0.630
0.279 0.833 0.833
0.370 0.370 0.816
0.370 0.816 0.370
0.630 0.184 0.630
0.630 0.630 0.184
0.721 0.167 0.167
0.816 0.370 0.370
0.833 0.279 0.833
0.833 0.833 0.279
```

Peak list (8 most intense, 2θ from 10° to 90°, low angle first)
| 2θ (°) | I_rel |
| --- | --- |
| 21.6 | 100 |
| 23.3 | 71 |
| 24.2 | 36 |
| 26.4 | 51 |
| 30.2 | 65 |
| 34.6 | 65 |
| 40.7 | 32 |
| 47.5 | 42 |


Structure and simulated X-ray diffraction stick pattern of Pa2Cl4F5 (a structure optimized by DFT (PBE); CuKα).

Crystal structure
```
Pa2Cl4F5
1.0
6.017 0.000 0.000
0.000 4.362 0.000
-0.852 0.000 10.211
Pa Cl F
2 4 5
Direct
0.041 0.000 0.226
0.959 0.000 0.774
0.216 0.500 0.857
0.230 0.500 0.361
0.770 0.500 0.639
0.784 0.500 0.143
0.000 0.000 0.000
0.170 0.000 0.627
0.359 0.000 0.168
0.641 0.000 0.832
0.830 0.000 0.373
```

Peak list (8 most intense, 2θ from 10° to 90°, low angle first)
| 2θ (°) | I_rel |
| --- | --- |
| 14.8 | 100 |
| 17.4 | 66 |
| 20.4 | 34 |
| 21.9 | 34 |
| 25.2 | 46 |
| 26.9 | 35 |
| 31.5 | 55 |
| 36.4 | 27 |


Structure and simulated X-ray diffraction stick pattern of PaCl3F2 (a structure optimized by DFT (PBE); CuKα).

Crystal structure
```
PaCl3F2
1.0
4.270 -5.075 0.000
4.270 5.075 0.000
0.000 0.000 6.432
Pa Cl F
2 6 4
Direct
0.124 0.876 0.750
0.876 0.124 0.250
0.110 0.479 0.250
0.369 0.631 0.750
0.479 0.110 0.750
0.521 0.890 0.250
0.631 0.369 0.250
0.890 0.521 0.750
0.133 0.133 0.000
0.133 0.133 0.500
0.867 0.867 0.000
0.867 0.867 0.500
```

Peak list (8 most intense, 2θ from 10° to 90°, low angle first)
| 2θ (°) | I_rel |
| --- | --- |
| 13.5 | 92 |
| 19.4 | 100 |
| 20.8 | 28 |
| 22.3 | 76 |
| 27.7 | 33 |
| 31.7 | 40 |
| 35.6 | 43 |
| 41.4 | 29 |


Structure and simulated X-ray diffraction stick pattern of PaCl3F (a structure optimized by DFT (PBE); CuKα).

Crystal structure
```
PaCl3F
1.0
-3.976 4.923 4.215
3.976 -4.923 4.215
3.976 4.923 -4.215
Pa Cl F
2 6 2
Direct
0.500 0.000 0.000
0.500 0.500 0.500
0.241 0.000 0.741
0.241 0.500 0.241
0.273 0.023 0.250
0.727 0.977 0.750
0.759 0.000 0.259
0.759 0.500 0.759
0.363 0.613 0.750
0.637 0.387 0.250
```

Peak list (8 most intense, 2θ from 10° to 90°, low angle first)
| 2θ (°) | I_rel |
| --- | --- |
| 13.8 | 100 |
| 18.0 | 21 |
| 21.1 | 23 |
| 22.4 | 17 |
| 26.4 | 32 |
| 29.2 | 20 |
| 30.9 | 30 |
| 40.4 | 16 |